[1]
The following is a simulated powder diffraction line list of Rb2YCoBr6. It was derived from a DFT-relaxed cell (PBE, Alexandria), using Cu Kα, 1.54184 Å.

Atomic structure:
```
Rb2YCoBr6
1.0
-3.8530 3.8530 5.4441
3.8530 -3.8530 5.4441
3.8530 3.8530 -5.4441
Rb Y Co Br
2 1 1 6
Cartesian
3.8530 0.0000 2.7220
0.0000 3.8530 2.7220
0.0000 0.0000 0.0000
0.0000 0.0000 5.4441
0.0000 0.0000 2.8008
1.9804 1.9804 0.0000
1.8727 -1.8727 5.4441
-1.8727 1.8727 5.4441
0.0000 0.0000 8.0873
1.8727 1.8727 5.4441
```

Most intense lines, 10 to 80 degrees two-theta, by angle:
16.27°, I = 19; 23.09°, I = 20; 28.38°, I = 77; 32.88°, I = 100; 47.19°, I = 70; 55.99°, I = 33; 58.71°, I = 24; 68.96°, I = 11; 76.18°, I = 13; 78.53°, I = 30


[2]
The following is a simulated powder diffraction line list of Ho2Si3Pt3. It was derived from a DFT-relaxed cell (PBE, Alexandria), using Cu Kα, 1.54184 Å.

Atomic structure:
```
Ho2Si3Pt3
1.0
2.8428 0.0000 0.0000
0.0000 2.8428 0.0000
0.0000 0.0000 20.3480
Ho Si Pt
2 3 3
Cartesian
0.0000 0.0000 5.0328
0.0000 0.0000 15.3151
0.0000 0.0000 0.0000
0.0000 0.0000 7.8354
0.0000 0.0000 12.5126
0.0000 0.0000 2.3134
0.0000 0.0000 10.1740
0.0000 0.0000 18.0345
```

Most intense lines, 10 to 80 degrees two-theta, by angle:
13.05°, I = 48; 21.84°, I = 23; 31.47°, I = 100; 34.20°, I = 21; 35.29°, I = 32; 38.63°, I = 22; 45.10°, I = 37; 48.00°, I = 54; 58.53°, I = 30; 74.65°, I = 19


[3]
The following is a simulated powder diffraction line list of K2Rb8HgAu. It was derived from a DFT-relaxed cell (PBE, Alexandria), using Cu Kα, 1.54184 Å.

Atomic structure:
```
K2Rb8HgAu
1.0
8.4009 0.0000 0.0000
-0.0029 9.8389 0.0000
-1.8412 -0.0351 11.0273
K Rb Hg Au
2 8 1 1
Cartesian
0.0064 2.5653 0.0000
6.5503 7.2385 11.0273
0.1307 -0.0032 3.6710
0.3531 4.9165 3.8524
2.2408 2.5624 8.0241
2.2386 7.2356 8.0247
4.3181 2.5682 3.0026
4.3160 7.2414 3.0032
6.2036 4.8873 7.1749
6.4260 9.8070 7.3563
3.2798 -0.0176 5.5136
3.2784 4.9019 5.5136
```

Most intense lines, 10 to 80 degrees two-theta, by angle:
10.68°, I = 32; 12.26°, I = 32; 19.76°, I = 55; 21.45°, I = 36; 24.17°, I = 52; 24.83°, I = 27; 25.44°, I = 100; 27.64°, I = 28; 36.02°, I = 27; 37.05°, I = 28